Entry 1:
The following is a computed X-ray diffraction stick pattern of SrIn2Ga6. It was derived from a crystal structure in Alexandria, relaxed with PBE, using CuKα.
Neutral-atom scattering factors, no anomalous dispersion.

Structural model:
```
SrIn2Ga6
1.0
4.8298 0.0000 0.0000
0.0000 4.8298 0.0000
0.0000 0.0000 9.1479
Sr In Ga
1 2 6
Cartesian
0.0000 0.0000 0.0000
2.4149 2.4149 1.4542
2.4149 2.4149 7.6937
0.0000 0.0000 4.5739
0.0000 2.4149 3.0382
0.0000 2.4149 6.1097
2.4149 0.0000 3.0382
2.4149 0.0000 6.1097
2.4149 2.4149 4.5739
```

The 8 most intense peaks (2θ from 10° to 90°), sorted by position:
| (hkl) | 2theta | I_rel |
| --- | --- | --- |
| 1 0 2 | 26.85 | 28 |
| 1 1 1 | 27.89 | 34 |
| 1 1 2 | 32.73 | 41 |
| 1 0 3 | 34.79 | 42 |
| 2 0 0 | 37.23 | 100 |
| 1 1 3 | 39.62 | 98 |
| 2 2 0 | 53.68 | 34 |
| 3 1 3 | 68.74 | 36 |

Entry 2:
The following is a computed X-ray diffraction stick pattern of SrInGa4. It was derived from a crystal structure in Alexandria, relaxed with PBE, using CuKα.
Neutral-atom scattering factors, no anomalous dispersion.

Structural model:
```
SrInGa4
1.0
8.3669 0.0000 0.0000
0.0000 15.9665 0.0000
0.0000 0.0000 4.3769
Sr In Ga
4 4 16
Cartesian
1.1264 2.3960 0.0000
3.0570 10.3793 0.0000
5.3099 5.5872 0.0000
7.2405 13.5705 0.0000
1.1966 6.5741 0.0000
2.9868 14.5574 0.0000
5.3801 1.4092 0.0000
7.1703 9.3924 0.0000
0.0825 11.1208 2.1885
0.9574 8.7864 2.1885
1.1066 15.4479 2.1885
1.7023 12.9680 2.1885
2.4812 4.9848 2.1885
3.0768 7.4647 2.1885
3.2260 0.8031 2.1885
4.1009 3.1375 2.1885
4.2660 12.8290 2.1885
5.1409 15.1634 2.1885
5.2901 8.5019 2.1885
5.8857 10.9818 2.1885
6.6646 2.9985 2.1885
7.2603 0.5186 2.1885
7.4095 7.1801 2.1885
8.2844 4.8457 2.1885
```

The 8 most intense peaks (2θ from 10° to 90°), sorted by position:
| (hkl) | 2theta | I_rel |
| --- | --- | --- |
| 1 3 1 | 28.48 | 25 |
| 2 1 1 | 30.07 | 100 |
| 0 4 1 | 30.30 | 57 |
| 1 4 1 | 32.18 | 62 |
| 2 3 1 | 34.10 | 79 |
| 3 3 0 | 36.40 | 26 |
| 0 0 2 | 41.25 | 57 |
| 3 5 0 | 43.06 | 28 |